1.
For Tb3Sm4Te8, DFT lattice parameters and positions (GGA-PBE) gives the computed XRD peak list in this record (CuKα).
No peak broadening, texture or thermal motion is included.

```
data_Tb3Sm4Te8
_chemical_formula_sum 'Tb6 Sm8 Te16'
_cell_length_a 12.422
_cell_length_b 12.427
_cell_length_c 8.786
_cell_angle_alpha 90.00
_cell_angle_beta 134.98
_cell_angle_gamma 90.00
_space_group_name_H-M_alt 'C 1 2/m 1'
_space_group_IT_number 12
loop_
_space_group_symop_operation_xyz
'x,y,z'
'-x,-y,-z'
'-x,y,-z'
'x,-y,z'
'x+1/2,y+1/2,z'
'-x+1/2,-y+1/2,-z'
'-x+1/2,y+1/2,-z'
'x+1/2,-y+1/2,z'
loop_
_atom_site_label
_atom_site_fract_x
_atom_site_fract_y
_atom_site_fract_z
Tb1 0.000 0.000 0.000
Tb2 0.250 0.250 0.500
Sm1 0.000 0.000 0.500
Sm2 0.000 0.500 0.000
Sm3 0.250 0.250 0.000
Te1 0.000 0.248 0.000
Te2 0.000 0.257 0.500
Te3 0.245 0.500 0.504
Te4 0.245 0.500 0.986
```

Principal peaks in the range 2θ = 10–90°, sorted by position:
- 2θ = 28.74°, I = 100, hkl 0 4 0
- 2θ = 41.09°, I = 76, hkl 4 0 0
- 2θ = 50.91°, I = 27, hkl 4 4 0
- 2θ = 59.51°, I = 13, hkl 0 8 0
- 2θ = 67.40°, I = 34, hkl 4 0 2
- 2θ = 74.87°, I = 25, hkl 4 4 2


2.
For Ca5S2N2, DFT lattice parameters and positions (GGA-PBE) gives the computed XRD peak list in this record (CuKα).
No peak broadening, texture or thermal motion is included.

```
data_Ca5S2N2
_chemical_formula_sum 'Ca10 S4 N4'
_cell_length_a 13.131
_cell_length_b 4.623
_cell_length_c 7.590
_cell_angle_alpha 90.00
_cell_angle_beta 124.94
_cell_angle_gamma 90.00
_space_group_name_H-M_alt 'C 1 2/m 1'
_space_group_IT_number 12
loop_
_space_group_symop_operation_xyz
'x,y,z'
'-x,-y,-z'
'-x,y,-z'
'x,-y,z'
'x+1/2,y+1/2,z'
'-x+1/2,-y+1/2,-z'
'-x+1/2,y+1/2,-z'
'x+1/2,-y+1/2,z'
loop_
_atom_site_label
_atom_site_fract_x
_atom_site_fract_y
_atom_site_fract_z
Ca1 0.000 0.000 0.000
Ca2 0.120 0.000 0.734
Ca3 0.147 0.500 0.379
S1 0.123 0.500 0.968
N1 0.112 0.000 0.418
```

Principal peaks in the range 2θ = 10–90°, sorted by position:
- 2θ = 22.52°, I = 38, hkl 1 1 -1
- 2θ = 27.98°, I = 30, hkl 1 1 1
- 2θ = 31.63°, I = 100, hkl 3 1 -2
- 2θ = 33.29°, I = 44, hkl 4 0 0
- 2θ = 38.96°, I = 61, hkl 0 2 0
- 2θ = 40.64°, I = 97, hkl 5 1 -1


3.
For NaYRuW2, DFT lattice parameters and positions (GGA-PBE) gives the computed XRD peak list in this record (CuKα).
No peak broadening, texture or thermal motion is included.

```
data_NaYRuW2
_chemical_formula_sum 'Na1 Y1 Ru1 W2'
_cell_length_a 4.774
_cell_length_b 4.774
_cell_length_c 5.380
_cell_angle_alpha 90.00
_cell_angle_beta 90.00
_cell_angle_gamma 90.00
_space_group_name_H-M_alt 'P 4/m m m'
_space_group_IT_number 123
_space_group_name_Hall '-P 4 2'
loop_
_atom_site_label
_atom_site_fract_x
_atom_site_fract_y
_atom_site_fract_z
Na1 0.000 0.000 0.000
Y1 0.500 0.500 0.000
Ru1 0.500 0.500 0.500
W1 0.000 0.500 0.500
```

Principal peaks in the range 2θ = 10–90°, sorted by position:
- 2θ = 16.48°, I = 100, hkl 0 0 1
- 2θ = 31.28°, I = 98, hkl 1 1 1
- 2θ = 33.31°, I = 50, hkl 0 0 2
- 2θ = 37.69°, I = 72, hkl 2 0 0
- 2θ = 41.38°, I = 41, hkl 2 0 1
- 2θ = 51.16°, I = 60, hkl 2 0 2


4.
For Gd2AgSe, DFT lattice parameters and positions (GGA-PBE) gives the computed XRD peak list in this record (CuKα).
No peak broadening, texture or thermal motion is included.

```
data_Gd2AgSe
_chemical_formula_sum 'Gd2 Ag1 Se1'
_cell_length_a 3.636
_cell_length_b 3.636
_cell_length_c 7.255
_cell_angle_alpha 90.00
_cell_angle_beta 90.00
_cell_angle_gamma 90.00
_space_group_name_H-M_alt 'P 4/m m m'
_space_group_IT_number 123
_space_group_name_Hall '-P 4 2'
loop_
_atom_site_label
_atom_site_fract_x
_atom_site_fract_y
_atom_site_fract_z
Gd1 0.000 0.000 0.243
Ag1 0.500 0.500 0.500
Se1 0.500 0.500 0.000
```

Principal peaks in the range 2θ = 10–90°, sorted by position:
- 2θ = 24.50°, I = 7, hkl 1 0 0
- 2θ = 34.93°, I = 100, hkl 1 1 0
- 2θ = 50.19°, I = 12, hkl 2 0 0
- 2θ = 62.64°, I = 36, hkl 2 1 2
- 2θ = 73.77°, I = 11, hkl 2 2 0
- 2θ = 84.23°, I = 11, hkl 3 1 0


5.
For Dy2CdS4, DFT lattice parameters and positions (GGA-PBE) gives the computed XRD peak list in this record (CuKα).
No peak broadening, texture or thermal motion is included.

Cell: 11.297 11.297 11.297 Å, 90.00 90.00 90.00°
Space group Fd-3m (No. 227, origin choice 2)
Asymmetric unit:
Dy 0.000 0.000 0.000
Cd 0.125 0.125 0.625
S 0.007 0.007 0.243

Principal peaks in the range 2θ = 10–90°, sorted by position:
- 2θ = 13.58°, I = 21, hkl 1 1 1
- 2θ = 26.16°, I = 100, hkl 3 1 1
- 2θ = 31.68°, I = 31, hkl 4 0 0
- 2θ = 41.54°, I = 43, hkl 5 1 1
- 2θ = 45.42°, I = 62, hkl 4 4 0
- 2θ = 63.23°, I = 24, hkl 5 5 3


6.
For Tl3VCl8, DFT lattice parameters and positions (GGA-PBE) gives the computed XRD peak list in this record (CuKα).
No peak broadening, texture or thermal motion is included.

```
data_Tl3VCl8
_chemical_formula_sum 'Tl6 V2 Cl16'
_cell_length_a 9.1925
_cell_length_b 9.1925
_cell_length_c 9.5434
_cell_angle_alpha 90.00
_cell_angle_beta 90.00
_cell_angle_gamma 120.00
_space_group_name_H-M_alt 'P 63 m c'
_space_group_IT_number 186
_space_group_name_Hall 'P 6c -2c'
loop_
_atom_site_label
_atom_site_fract_x
_atom_site_fract_y
_atom_site_fract_z
Tl1 0.1498 0.2996 0.0000
V1 0.3333 0.6667 0.4863
Cl1 0.0000 0.0000 0.2683
Cl2 0.0981 0.5490 0.3553
Cl3 0.2157 0.4315 0.6301
Cl4 0.3333 0.6667 0.0240
```

Principal peaks in the range 2θ = 10–90°, sorted by position:
- 2θ = 18.60°, I = 52, hkl 0 0 2
- 2θ = 24.23°, I = 100, hkl 2 0 1
- 2θ = 29.22°, I = 44, hkl 2 0 2
- 2θ = 31.17°, I = 36, hkl 2 1 1
- 2θ = 36.15°, I = 48, hkl 2 0 3
- 2θ = 43.72°, I = 30, hkl 2 2 2


7.
For Fe3WBr, DFT lattice parameters and positions (GGA-PBE) gives the computed XRD peak list in this record (CuKα).
No peak broadening, texture or thermal motion is included.

```
data_Fe3WBr
_chemical_formula_sum 'Fe3 W1 Br1'
_cell_length_a 4.268
_cell_length_b 4.268
_cell_length_c 4.268
_cell_angle_alpha 90.00
_cell_angle_beta 90.00
_cell_angle_gamma 90.00
_space_group_name_H-M_alt 'P m -3 m'
_space_group_IT_number 221
_space_group_name_Hall '-P 4 2 3'
loop_
_atom_site_label
_atom_site_fract_x
_atom_site_fract_y
_atom_site_fract_z
Fe1 0.000 0.000 0.500
W1 0.500 0.500 0.500
Br1 0.000 0.000 0.000
```

Principal peaks in the range 2θ = 10–90°, sorted by position:
- 2θ = 29.60°, I = 100, hkl 1 1 0
- 2θ = 36.46°, I = 71, hkl 1 1 1
- 2θ = 42.35°, I = 88, hkl 2 0 0
- 2θ = 52.52°, I = 42, hkl 2 1 1
- 2θ = 61.45°, I = 56, hkl 2 2 0
- 2θ = 73.61°, I = 25, hkl 3 1 1


8.
For Li2In2Ag2Hg, DFT lattice parameters and positions (GGA-PBE) gives the computed XRD peak list in this record (CuKα).
No peak broadening, texture or thermal motion is included.

```
data_Li2In2Ag2Hg
_chemical_formula_sum 'Li4 In4 Ag4 Hg2'
_cell_length_a 7.543
_cell_length_b 4.849
_cell_length_c 8.818
_cell_angle_alpha 90.00
_cell_angle_beta 91.81
_cell_angle_gamma 90.00
_space_group_name_H-M_alt 'C 1 2/m 1'
_space_group_IT_number 12
loop_
_space_group_symop_operation_xyz
'x,y,z'
'-x,-y,-z'
'-x,y,-z'
'x,-y,z'
'x+1/2,y+1/2,z'
'-x+1/2,-y+1/2,-z'
'-x+1/2,y+1/2,-z'
'x+1/2,-y+1/2,z'
loop_
_atom_site_label
_atom_site_fract_x
_atom_site_fract_y
_atom_site_fract_z
Li1 0.186 0.000 0.267
In1 0.179 0.000 0.922
Ag1 0.155 0.000 0.608
Hg1 0.000 0.500 0.500
```

Principal peaks in the range 2θ = 10–90°, sorted by position:
- 2θ = 10.04°, I = 63, hkl 0 0 1
- 2θ = 20.15°, I = 66, hkl 0 0 2
- 2θ = 24.20°, I = 100, hkl 1 1 1
- 2θ = 25.40°, I = 64, hkl 2 0 -1
- 2θ = 38.05°, I = 84, hkl 1 1 3
- 2θ = 40.43°, I = 72, hkl 3 1 0


9.
For PrCo2H6, DFT lattice parameters and positions (GGA-PBE) gives the computed XRD peak list in this record (CuKα).
No peak broadening, texture or thermal motion is included.

```
data_PrCo2H6
_chemical_formula_sum 'Pr1 Co2 H6'
_cell_length_a 4.4357
_cell_length_b 4.4357
_cell_length_c 4.2797
_cell_angle_alpha 90.00
_cell_angle_beta 90.00
_cell_angle_gamma 120.00
_space_group_name_H-M_alt 'P 6/m m m'
_space_group_IT_number 191
_space_group_name_Hall '-P 6 2'
loop_
_atom_site_label
_atom_site_fract_x
_atom_site_fract_y
_atom_site_fract_z
Pr1 0.0000 0.0000 0.0000
Co1 0.3333 0.6667 0.5000
H1 0.0000 0.5000 0.2588
```

Principal peaks in the range 2θ = 10–90°, sorted by position:
- 2θ = 23.15°, I = 14, hkl 1 0 0
- 2θ = 31.29°, I = 100, hkl 1 0 1
- 2θ = 40.68°, I = 40, hkl 1 1 0
- 2θ = 52.20°, I = 23, hkl 2 0 1
- 2θ = 60.08°, I = 25, hkl 1 1 2
- 2θ = 68.21°, I = 20, hkl 2 1 1


10.
For Ta2Nb7Sn3, DFT lattice parameters and positions (GGA-PBE) gives the computed XRD peak list in this record (CuKα).
No peak broadening, texture or thermal motion is included.

```
data_Ta2Nb7Sn3
_chemical_formula_sum 'Ta4 Nb14 Sn6'
_cell_length_a 4.409
_cell_length_b 24.799
_cell_length_c 4.504
_cell_angle_alpha 90.00
_cell_angle_beta 90.00
_cell_angle_gamma 90.00
_space_group_name_H-M_alt 'C m m m'
_space_group_IT_number 65
_space_group_name_Hall '-C 2 2'
loop_
_atom_site_label
_atom_site_fract_x
_atom_site_fract_y
_atom_site_fract_z
Ta1 0.000 0.149 0.000
Nb1 0.000 0.000 0.000
Nb2 0.000 0.073 0.500
Nb3 0.000 0.276 0.000
Nb4 0.000 0.422 0.000
Sn1 0.000 0.344 0.500
Sn2 0.000 0.500 0.500
```

Principal peaks in the range 2θ = 10–90°, sorted by position:
- 2θ = 38.23°, I = 100, hkl 1 7 1
- 2θ = 40.04°, I = 25, hkl 0 0 2
- 2θ = 40.93°, I = 23, hkl 2 0 0
- 2θ = 58.60°, I = 16, hkl 2 0 2
- 2θ = 71.53°, I = 16, hkl 1 7 3
- 2θ = 72.75°, I = 15, hkl 3 7 1


11.
For LaBeGe3, DFT lattice parameters and positions (GGA-PBE) gives the computed XRD peak list in this record (CuKα).
No peak broadening, texture or thermal motion is included.

```
data_LaBeGe3
_chemical_formula_sum 'La4 Be4 Ge12'
_cell_length_a 7.792
_cell_length_b 9.393
_cell_length_c 5.986
_cell_angle_alpha 90.00
_cell_angle_beta 114.44
_cell_angle_gamma 90.00
_space_group_name_H-M_alt 'C 1 c 1'
_space_group_IT_number 9
loop_
_space_group_symop_operation_xyz
'x,y,z'
'x,-y,z+1/2'
'x+1/2,y+1/2,z'
'x+1/2,-y+1/2,z+1/2'
loop_
_atom_site_label
_atom_site_fract_x
_atom_site_fract_y
_atom_site_fract_z
La1 0.000 0.172 0.000
Be1 0.339 0.338 0.899
Ge1 0.172 0.167 0.580
Ge2 0.192 0.485 0.083
Ge3 0.370 0.061 0.033
```

Principal peaks in the range 2θ = 10–90°, sorted by position:
- 2θ = 30.40°, I = 48, hkl 2 2 -1
- 2θ = 31.23°, I = 100, hkl 1 3 0
- 2θ = 32.86°, I = 86, hkl 0 0 2
- 2θ = 35.88°, I = 47, hkl 3 1 -1
- 2θ = 40.47°, I = 37, hkl 2 2 1
- 2θ = 41.76°, I = 66, hkl 1 3 -2


12.
For Ca2AcUAs4, DFT lattice parameters and positions (GGA-PBE) gives the computed XRD peak list in this record (CuKα).
No peak broadening, texture or thermal motion is included.

```
data_Ca2AcUAs4
_chemical_formula_sum 'Ca2 Ac1 U1 As4'
_cell_length_a 7.336
_cell_length_b 4.328
_cell_length_c 7.511
_cell_angle_alpha 90.00
_cell_angle_beta 109.83
_cell_angle_gamma 90.00
_space_group_name_H-M_alt 'P 1 2/m 1'
_space_group_IT_number 10
loop_
_space_group_symop_operation_xyz
'x,y,z'
'-x,-y,-z'
'-x,y,-z'
'x,-y,z'
loop_
_atom_site_label
_atom_site_fract_x
_atom_site_fract_y
_atom_site_fract_z
Ca1 0.000 0.000 0.000
Ca2 0.000 0.500 0.500
Ac1 0.500 0.000 0.500
U1 0.500 0.500 0.000
As1 0.258 0.500 0.224
As2 0.267 0.000 0.777
```

Principal peaks in the range 2θ = 10–90°, sorted by position:
- 2θ = 12.83°, I = 46, hkl 1 0 0
- 2θ = 24.11°, I = 29, hkl 0 1 1
- 2θ = 29.40°, I = 100, hkl 1 1 1
- 2θ = 41.70°, I = 38, hkl 0 2 0
- 2θ = 42.43°, I = 36, hkl 3 1 -1
- 2θ = 68.62°, I = 16, hkl 1 3 1